No. 1
Structure and calculated powder X-ray diffraction pattern of Hg2BiSbPb2 (a GGA-PBE-relaxed structure; CuKα).
Peak positions follow from Bragg's law for the DFT cell and can differ from measured ones.

Structural model:
```
data_Hg2BiSbPb2
_chemical_formula_sum 'Hg4 Bi2 Sb2 Pb4'
_symmetry_space_group_name_H-M 'P m c 21'
_symmetry_Int_Tables_number 26
_cell_length_a 5.6229
_cell_length_b 9.7043
_cell_length_c 6.6496
_cell_angle_alpha 90.00
_cell_angle_beta 90.00
_cell_angle_gamma 90.00
loop_
_symmetry_equiv_pos_as_xyz
'x,y,z'
'-x,-y,z+1/2'
'-x,y,z'
'x,-y,z+1/2'
loop_
_atom_site_label
_atom_site_fract_x
_atom_site_fract_y
_atom_site_fract_z
Hg1 0.0000 0.0068 0.0000
Hg2 0.5000 0.1404 0.2914
Bi1 0.5000 0.4740 0.4702
Sb1 0.0000 0.3150 0.5702
Pb1 0.0000 0.3415 0.0808
Pb2 0.5000 0.1958 0.8040
```

Most intense lines, 5 to 70 degrees two-theta, by angle:
- (1 0 2), d = 2.862 Å, 31.3°, I = 36
- (2 0 0), d = 2.807 Å, 31.9°, I = 100
- (1 1 2), d = 2.744 Å, 32.6°, I = 35
- (0 3 2), d = 2.319 Å, 38.8°, I = 18
- (2 2 2), d = 1.962 Å, 46.3°, I = 12
- (2 3 2), d = 1.789 Å, 51.1°, I = 16
- (3 3 0), d = 1.622 Å, 56.8°, I = 13
- (3 1 2), d = 1.609 Å, 57.3°, I = 9
- (0 2 4), d = 1.572 Å, 58.7°, I = 15
- (2 2 4), d = 1.372 Å, 68.4°, I = 10

No. 2
Structure and calculated powder X-ray diffraction pattern of SnHg2Bi2Pb2 (a GGA-PBE-relaxed structure; CuKα).
Peak positions follow from Bragg's law for the DFT cell and can differ from measured ones.

Structural model:
```
data_SnHg2Bi2Pb2
_chemical_formula_sum 'Sn1 Hg2 Bi2 Pb2'
_symmetry_space_group_name_H-M 'P -3 m 1'
_symmetry_Int_Tables_number 164
_symmetry_space_group_name_Hall '-P 3 2"'
_cell_length_a 5.1514
_cell_length_b 5.1514
_cell_length_c 9.4594
_cell_angle_alpha 90.00
_cell_angle_beta 90.00
_cell_angle_gamma 120.00
loop_
_atom_site_label
_atom_site_fract_x
_atom_site_fract_y
_atom_site_fract_z
Sn1 0.0000 0.0000 0.0000
Hg1 0.0000 0.0000 0.3233
Bi1 0.3333 0.6667 0.8395
Pb1 0.3333 0.6667 0.4048
```

Most intense lines, 5 to 70 degrees two-theta, by angle:
- (0 0 1), d = 9.459 Å, 9.3°, I = 7
- (0 1 2), d = 3.245 Å, 27.5°, I = 55
- (1 1 0), d = 2.575 Å, 34.8°, I = 100
- (0 1 4), d = 2.089 Å, 43.3°, I = 3
- (2 0 2), d = 2.018 Å, 44.9°, I = 15
- (2 0 3), d = 1.821 Å, 50.1°, I = 14
- (1 0 5), d = 1.742 Å, 52.5°, I = 14
- (1 2 2), d = 1.588 Å, 58.1°, I = 14
- (3 0 0), d = 1.487 Å, 62.5°, I = 30
- (0 2 5), d = 1.443 Å, 64.6°, I = 4

No. 3
Structure and calculated powder X-ray diffraction pattern of Tl2HgBiPb2 (a GGA-PBE-relaxed structure; CuKα).
Peak positions follow from Bragg's law for the DFT cell and can differ from measured ones.

Structural model:
```
data_Tl2HgBiPb2
_chemical_formula_sum 'Tl4 Hg2 Bi2 Pb4'
_symmetry_space_group_name_H-M 'P m c 21'
_symmetry_Int_Tables_number 26
_cell_length_a 4.9009
_cell_length_b 10.6983
_cell_length_c 7.0261
_cell_angle_alpha 90.00
_cell_angle_beta 90.00
_cell_angle_gamma 90.00
loop_
_symmetry_equiv_pos_as_xyz
'x,y,z'
'-x,-y,z+1/2'
'-x,y,z'
'x,-y,z+1/2'
loop_
_atom_site_label
_atom_site_fract_x
_atom_site_fract_y
_atom_site_fract_z
Tl1 0.0000 0.9998 0.0000
Tl2 0.5000 0.1703 0.2492
Hg1 0.5000 0.4948 0.2626
Bi1 0.0000 0.3349 0.5051
Pb1 0.0000 0.3522 0.0110
Pb2 0.5000 0.1899 0.7475
```

Most intense lines, 5 to 70 degrees two-theta, by angle:
- (1 3 0), d = 2.884 Å, 31.0°, I = 98
- (1 0 2), d = 2.855 Å, 31.3°, I = 100
- (0 3 2), d = 2.503 Å, 35.9°, I = 67
- (2 0 0), d = 2.450 Å, 36.7°, I = 33
- (2 3 2), d = 1.751 Å, 52.2°, I = 47
- (1 6 2), d = 1.512 Å, 61.3°, I = 24
- (1 3 4), d = 1.500 Å, 61.8°, I = 28
- (3 3 0), d = 1.485 Å, 62.5°, I = 14
- (3 0 2), d = 1.481 Å, 62.7°, I = 14
- (2 0 4), d = 1.428 Å, 65.4°, I = 13

No. 4
Structure and calculated powder X-ray diffraction pattern of Tl3Hg3Bi2Pb2 (a GGA-PBE-relaxed structure; CuKα).
Peak positions follow from Bragg's law for the DFT cell and can differ from measured ones.

Structural model:
```
data_Tl3Hg3Bi2Pb2
_chemical_formula_sum 'Tl6 Hg6 Bi4 Pb4'
_symmetry_space_group_name_H-M 'I 4/m m m'
_symmetry_Int_Tables_number 139
_symmetry_space_group_name_Hall '-I 4 2'
_cell_length_a 4.6027
_cell_length_b 4.6027
_cell_length_c 34.4138
_cell_angle_alpha 90.00
_cell_angle_beta 90.00
_cell_angle_gamma 90.00
loop_
_atom_site_label
_atom_site_fract_x
_atom_site_fract_y
_atom_site_fract_z
Tl1 0.0000 0.0000 0.0000
Tl2 0.0000 0.0000 0.4135
Hg1 0.0000 0.0000 0.1020
Hg2 0.0000 0.0000 0.5000
Bi1 0.0000 0.5000 0.2500
Pb1 0.0000 0.0000 0.3199
```

Most intense lines, 5 to 70 degrees two-theta, by angle:
- (1 1 0), d = 3.255 Å, 27.4°, I = 65
- (1 1 2), d = 3.198 Å, 27.9°, I = 63
- (1 1 4), d = 3.044 Å, 29.3°, I = 33
- (1 0 9), d = 2.941 Å, 30.4°, I = 23
- (0 0 12), d = 2.868 Å, 31.2°, I = 36
- (1 1 10), d = 2.365 Å, 38.1°, I = 100
- (2 0 0), d = 2.301 Å, 39.1°, I = 74
- (2 0 12), d = 1.795 Å, 50.9°, I = 39
- (2 2 0), d = 1.627 Å, 56.6°, I = 27
- (1 1 22), d = 1.410 Å, 66.3°, I = 23

No. 5
Structure and calculated powder X-ray diffraction pattern of Tl2Hg2BiPb (a GGA-PBE-relaxed structure; CuKα).
Peak positions follow from Bragg's law for the DFT cell and can differ from measured ones.

Structural model:
```
data_Tl2Hg2BiPb
_chemical_formula_sum 'Tl4 Hg4 Bi2 Pb2'
_symmetry_space_group_name_H-M 'P m c 21'
_symmetry_Int_Tables_number 26
_cell_length_a 5.6295
_cell_length_b 9.8760
_cell_length_c 6.5357
_cell_angle_alpha 90.00
_cell_angle_beta 90.00
_cell_angle_gamma 90.00
loop_
_symmetry_equiv_pos_as_xyz
'x,y,z'
'-x,-y,z+1/2'
'-x,y,z'
'x,-y,z+1/2'
loop_
_atom_site_label
_atom_site_fract_x
_atom_site_fract_y
_atom_site_fract_z
Tl1 0.0000 0.0132 0.0000
Tl2 0.5000 0.1783 0.3201
Hg1 0.0000 0.3290 0.2321
Hg2 0.5000 0.1617 0.8171
Bi1 0.5000 0.4938 0.5795
Pb1 0.0000 0.3358 0.7251
```

Most intense lines, 5 to 70 degrees two-theta, by angle:
- (0 1 2), d = 3.102 Å, 28.8°, I = 14
- (1 3 0), d = 2.842 Å, 31.5°, I = 100
- (2 0 0), d = 2.815 Å, 31.8°, I = 50
- (0 2 2), d = 2.720 Å, 32.9°, I = 89
- (1 2 2), d = 2.453 Å, 36.6°, I = 16
- (2 2 2), d = 1.958 Å, 46.4°, I = 24
- (3 3 0), d = 1.630 Å, 56.4°, I = 20
- (1 5 2), d = 1.619 Å, 56.9°, I = 13
- (1 0 4), d = 1.569 Å, 58.9°, I = 14
- (2 6 0), d = 1.421 Å, 65.7°, I = 13

No. 6
Structure and calculated powder X-ray diffraction pattern of Tl3Hg2BiPb3 (a GGA-PBE-relaxed structure; CuKα).
Peak positions follow from Bragg's law for the DFT cell and can differ from measured ones.

Structural model:
```
data_Tl3Hg2BiPb3
_chemical_formula_sum 'Tl3 Hg2 Bi1 Pb3'
_symmetry_space_group_name_H-M 'P -6 2 m'
_symmetry_Int_Tables_number 189
_symmetry_space_group_name_Hall 'P -6 -2'
_cell_length_a 8.7831
_cell_length_b 8.7831
_cell_length_c 4.2175
_cell_angle_alpha 90.00
_cell_angle_beta 90.00
_cell_angle_gamma 120.00
loop_
_atom_site_label
_atom_site_fract_x
_atom_site_fract_y
_atom_site_fract_z
Tl1 0.0000 0.3910 0.0000
Hg1 0.3333 0.6667 0.5000
Bi1 0.0000 0.0000 0.0000
Pb1 0.0000 0.7127 0.5000
```

Most intense lines, 5 to 70 degrees two-theta, by angle:
- (1 1 1), d = 3.042 Å, 29.4°, I = 100
- (2 1 0), d = 2.875 Å, 31.1°, I = 26
- (2 0 1), d = 2.824 Å, 31.7°, I = 65
- (3 0 0), d = 2.535 Å, 35.4°, I = 72
- (2 1 1), d = 2.376 Å, 37.9°, I = 26
- (0 0 2), d = 2.109 Å, 42.9°, I = 32
- (2 2 1), d = 1.948 Å, 46.6°, I = 14
- (3 0 2), d = 1.621 Å, 56.8°, I = 38
- (3 2 1), d = 1.612 Å, 57.1°, I = 36
- (5 0 1), d = 1.431 Å, 65.2°, I = 16

No. 7
Structure and calculated powder X-ray diffraction pattern of HgBi2Pd7 (a GGA-PBE-relaxed structure; CuKα).
Peak positions follow from Bragg's law for the DFT cell and can differ from measured ones.

Structural model:
```
data_HgBi2Pd7
_chemical_formula_sum 'Hg2 Bi4 Pd14'
_symmetry_space_group_name_H-M 'I 4/m m m'
_symmetry_Int_Tables_number 139
_symmetry_space_group_name_Hall '-I 4 2'
_cell_length_a 4.0461
_cell_length_b 4.0461
_cell_length_c 23.7145
_cell_angle_alpha 90.00
_cell_angle_beta 90.00
_cell_angle_gamma 90.00
loop_
_atom_site_label
_atom_site_fract_x
_atom_site_fract_y
_atom_site_fract_z
Hg1 0.0000 0.0000 0.0000
Bi1 0.0000 0.0000 0.3331
Pd1 0.0000 0.0000 0.5000
Pd2 0.0000 0.5000 0.0869
Pd3 0.0000 0.5000 0.2500
```

Most intense lines, 5 to 70 degrees two-theta, by angle:
- (0 0 2), d = 11.857 Å, 7.5°, I = 4
- (1 0 3), d = 3.602 Å, 24.7°, I = 43
- (1 1 6), d = 2.318 Å, 38.9°, I = 100
- (1 0 9), d = 2.208 Å, 40.9°, I = 12
- (2 0 0), d = 2.023 Å, 44.8°, I = 34
- (0 0 12), d = 1.976 Å, 45.9°, I = 15
- (2 1 3), d = 1.764 Å, 51.8°, I = 12
- (2 1 9), d = 1.492 Å, 62.2°, I = 7
- (2 2 0), d = 1.431 Å, 65.2°, I = 11
- (2 0 12), d = 1.414 Å, 66.1°, I = 21

No. 8
Structure and calculated powder X-ray diffraction pattern of HgBi4Pd (a GGA-PBE-relaxed structure; CuKα).
Peak positions follow from Bragg's law for the DFT cell and can differ from measured ones.

Structural model:
```
data_HgBi4Pd
_chemical_formula_sum 'Hg4 Bi16 Pd4'
_symmetry_space_group_name_H-M 'C 1 2/c 1'
_symmetry_Int_Tables_number 15
_cell_length_a 10.9231
_cell_length_b 12.2790
_cell_length_c 7.7351
_cell_angle_alpha 90.00
_cell_angle_beta 134.89
_cell_angle_gamma 90.00
loop_
_symmetry_equiv_pos_as_xyz
'x,y,z'
'-x,-y,-z'
'-x,y,-z+1/2'
'x,-y,z+1/2'
'x+1/2,y+1/2,z'
'-x+1/2,-y+1/2,-z'
'-x+1/2,y+1/2,-z+1/2'
'x+1/2,-y+1/2,z+1/2'
loop_
_atom_site_label
_atom_site_fract_x
_atom_site_fract_y
_atom_site_fract_z
Hg1 0.0000 0.1228 0.2500
Bi1 0.1335 0.4163 0.2285
Bi2 0.1541 0.1660 0.0377
Pd1 0.0000 0.3748 0.7500
```

Most intense lines, 5 to 70 degrees two-theta, by angle:
- (1 3 -1), d = 3.618 Å, 24.6°, I = 27
- (3 1 -2), d = 3.330 Å, 26.8°, I = 100
- (0 4 0), d = 3.070 Å, 29.1°, I = 28
- (2 4 -1), d = 2.677 Å, 33.5°, I = 28
- (1 3 1), d = 2.642 Å, 33.9°, I = 34
- (2 2 -3), d = 2.273 Å, 39.7°, I = 96
- (3 3 0), d = 2.182 Å, 41.4°, I = 9
- (3 5 0), d = 1.778 Å, 51.4°, I = 14
- (0 6 2), d = 1.639 Å, 56.1°, I = 20
- (1 3 -4), d = 1.450 Å, 64.2°, I = 9

No. 9
Structure and calculated powder X-ray diffraction pattern of TlHgBi2Pd4 (a GGA-PBE-relaxed structure; CuKα).
Peak positions follow from Bragg's law for the DFT cell and can differ from measured ones.

Structural model:
```
data_TlHgBi2Pd4
_chemical_formula_sum 'Tl4 Hg4 Bi8 Pd16'
_symmetry_space_group_name_H-M 'I m m a'
_symmetry_Int_Tables_number 74
_symmetry_space_group_name_Hall '-I 2b 2'
_cell_length_a 6.9927
_cell_length_b 8.9387
_cell_length_c 11.3190
_cell_angle_alpha 90.00
_cell_angle_beta 90.00
_cell_angle_gamma 90.00
loop_
_atom_site_label
_atom_site_fract_x
_atom_site_fract_y
_atom_site_fract_z
Tl1 0.0000 0.0000 0.0000
Hg1 0.2500 0.2500 0.2500
Bi1 0.0000 0.0000 0.5000
Bi2 0.2500 0.2500 0.7500
Pd1 0.0000 0.0071 0.2506
Pd2 0.2401 0.2500 0.0067
```

Most intense lines, 5 to 70 degrees two-theta, by angle:
- (0 2 2), d = 3.508 Å, 25.4°, I = 17
- (0 0 4), d = 2.830 Å, 31.6°, I = 54
- (2 2 0), d = 2.754 Å, 32.5°, I = 100
- (0 4 0), d = 2.235 Å, 40.4°, I = 28
- (2 2 4), d = 1.974 Å, 46.0°, I = 77
- (0 4 4), d = 1.754 Å, 52.2°, I = 26
- (4 0 0), d = 1.748 Å, 52.3°, I = 13
- (4 0 4), d = 1.487 Å, 62.4°, I = 15
- (4 4 0), d = 1.377 Å, 68.1°, I = 12
- (2 6 0), d = 1.371 Å, 68.5°, I = 12

No. 10
Structure and calculated powder X-ray diffraction pattern of PmHg3Bi (a GGA-PBE-relaxed structure; CuKα).
Peak positions follow from Bragg's law for the DFT cell and can differ from measured ones.

Structural model:
```
data_PmHg3Bi
_chemical_formula_sum 'Pm4 Hg12 Bi4'
_symmetry_space_group_name_H-M 'C 1 2/m 1'
_symmetry_Int_Tables_number 12
_cell_length_a 28.2744
_cell_length_b 4.4812
_cell_length_c 4.7052
_cell_angle_alpha 90.00
_cell_angle_beta 99.45
_cell_angle_gamma 90.00
loop_
_symmetry_equiv_pos_as_xyz
'x,y,z'
'-x,-y,-z'
'-x,y,-z'
'x,-y,z'
'x+1/2,y+1/2,z'
'-x+1/2,-y+1/2,-z'
'-x+1/2,y+1/2,-z'
'x+1/2,-y+1/2,z'
loop_
_atom_site_label
_atom_site_fract_x
_atom_site_fract_y
_atom_site_fract_z
Pm1 0.1180 0.0000 0.3622
Hg1 0.0267 0.0000 0.7764
Hg2 0.2032 0.0000 0.9456
Hg3 0.2078 0.5000 0.4494
Bi1 0.1042 0.5000 0.8482
```

Most intense lines, 5 to 70 degrees two-theta, by angle:
- (2 0 0), d = 13.946 Å, 6.3°, I = 10
- (3 1 1), d = 2.942 Å, 30.4°, I = 24
- (10 0 0), d = 2.789 Å, 32.1°, I = 15
- (7 1 -1), d = 2.661 Å, 33.7°, I = 100
- (2 0 -2), d = 2.353 Å, 38.3°, I = 22
- (0 2 0), d = 2.241 Å, 40.2°, I = 19
- (2 2 -2), d = 1.622 Å, 56.7°, I = 14
- (15 1 1), d = 1.536 Å, 60.3°, I = 14
- (9 1 -3), d = 1.410 Å, 66.3°, I = 14
- (7 3 -1), d = 1.361 Å, 69.0°, I = 13

No. 11
Structure and calculated powder X-ray diffraction pattern of Pm8HgBi5 (a GGA-PBE-relaxed structure; CuKα).
Peak positions follow from Bragg's law for the DFT cell and can differ from measured ones.

Structural model:
```
data_Pm8HgBi5
_chemical_formula_sum 'Pm16 Hg2 Bi10'
_symmetry_space_group_name_H-M 'I -4'
_symmetry_Int_Tables_number 82
_cell_length_a 9.5628
_cell_length_b 9.5628
_cell_length_c 9.6773
_cell_angle_alpha 90.00
_cell_angle_beta 90.00
_cell_angle_gamma 90.00
loop_
_symmetry_equiv_pos_as_xyz
'x,y,z'
'y,-x,-z'
'-x,-y,z'
'-y,x,-z'
'x+1/2,y+1/2,z+1/2'
'y+1/2,-x+1/2,-z+1/2'
'-x+1/2,-y+1/2,z+1/2'
'-y+1/2,x+1/2,-z+1/2'
loop_
_atom_site_label
_atom_site_fract_x
_atom_site_fract_y
_atom_site_fract_z
Pm1 0.0705 0.1836 0.1967
Pm2 0.0726 0.3231 0.5506
Hg1 0.0000 0.5000 0.2500
Bi1 0.0000 0.0000 0.5000
Bi2 0.1220 0.2501 0.8730
```

Most intense lines, 5 to 70 degrees two-theta, by angle:
- (1 2 1), d = 3.912 Å, 22.7°, I = 12
- (1 0 3), d = 3.057 Å, 29.2°, I = 51
- (1 3 0), d = 3.026 Å, 29.5°, I = 100
- (2 1 3), d = 2.575 Å, 34.8°, I = 35
- (3 2 1), d = 2.561 Å, 35.0°, I = 63
- (2 3 3), d = 2.049 Å, 44.2°, I = 14
- (2 4 2), d = 1.956 Å, 46.4°, I = 13
- (1 4 3), d = 1.883 Å, 48.3°, I = 11
- (6 1 1), d = 1.552 Å, 59.6°, I = 22
- (6 2 0), d = 1.513 Å, 61.3°, I = 11

No. 12
Structure and calculated powder X-ray diffraction pattern of Pm2HgBi4 (a GGA-PBE-relaxed structure; CuKα).
Peak positions follow from Bragg's law for the DFT cell and can differ from measured ones.

Structural model:
```
data_Pm2HgBi4
_chemical_formula_sum 'Pm2 Hg1 Bi4'
_symmetry_space_group_name_H-M 'P -4 m 2'
_symmetry_Int_Tables_number 115
_cell_length_a 4.6192
_cell_length_b 4.6192
_cell_length_c 10.2996
_cell_angle_alpha 90.00
_cell_angle_beta 90.00
_cell_angle_gamma 90.00
loop_
_symmetry_equiv_pos_as_xyz
'x,y,z'
'y,-x,-z'
'-x,-y,z'
'-y,x,-z'
'-x,y,z'
'-y,-x,-z'
'x,-y,z'
'y,x,-z'
loop_
_atom_site_label
_atom_site_fract_x
_atom_site_fract_y
_atom_site_fract_z
Pm1 0.0000 0.5000 0.2505
Hg1 0.0000 0.0000 0.5000
Bi1 0.0000 0.0000 0.0000
Bi2 0.0000 0.5000 0.6862
Bi3 0.5000 0.5000 0.0000
```

Most intense lines, 5 to 70 degrees two-theta, by angle:
- (0 0 3), d = 3.436 Å, 25.9°, I = 26
- (1 1 1), d = 3.113 Å, 28.7°, I = 13
- (1 1 2), d = 2.758 Å, 32.5°, I = 100
- (0 0 4), d = 2.575 Å, 34.8°, I = 11
- (2 0 0), d = 2.310 Å, 39.0°, I = 36
- (2 0 3), d = 1.917 Å, 47.4°, I = 15
- (2 0 4), d = 1.719 Å, 53.3°, I = 15
- (2 2 0), d = 1.633 Å, 56.3°, I = 13
- (3 1 2), d = 1.405 Å, 66.5°, I = 26
- (2 2 4), d = 1.379 Å, 68.0°, I = 10